# RbPr2US5
Computed X-ray powder pattern, Cu Ka. Input: a cell relaxed with PBE.
Peak positions follow from Bragg's law for the DFT cell and can differ from measured ones.

Largest 10 diffraction maxima, most intense first, 10 to 80 degrees two-theta:
| Position (°2θ) | d (Å) | Rel. int. |
| --- | --- | --- |
| 24.90 | 3.576 | 100 |
| 13.68 | 6.473 | 51 |
| 35.51 | 2.528 | 47 |
| 35.92 | 2.500 | 29 |
| 43.24 | 2.092 | 25 |
| 24.39 | 3.649 | 24 |
| 34.27 | 2.616 | 17 |
| 51.09 | 1.788 | 17 |
| 57.63 | 1.600 | 12 |
| 50.16 | 1.819 | 12 |

Structural model:
Unit cell a=8.2953 b=8.2953 c=8.2953 alpha=144.49 beta=127.81 gamma=64.72
Fractional coordinates of all 9 atoms:
1 Rb 0.0000 0.0000 0.0000
2 Pr 0.2951 0.7951 0.5000
3 Pr 0.7049 0.2049 0.5000
4 U 0.5000 0.5000 0.0000
5 S 0.1150 0.3499 0.7651
6 S 0.4152 0.6501 0.7651
7 S 0.5000 0.0000 0.5000
8 S 0.5848 0.3499 0.2349
9 S 0.8850 0.6501 0.2349